Diffraction record for KBaAg2. The powder XRD pattern is computed, not measured: it uses a DFT-relaxed cell (GGA-PBE, Alexandria) and Cu Kα (weighted mean of Kα1 and Kα2).

The 12 most intense peaks (2θ = 15–90°), in order of rising 2θ:
2theta  I/Imax  index
19.4  7.7  1 1 1
22.5  6.1  2 0 0
32.0  100.0  2 2 0
37.7  4.5  3 1 1
39.5  2.0  2 2 2
45.9  17.7  4 0 0
50.3  2.0  3 3 1
51.7  2.8  4 2 0
57.0  36.0  4 2 2
66.9  11.0  4 4 0
76.1  15.1  6 2 0
84.9  3.8  4 4 4

Structural model:
```
KBaAg2
1.0
7.9126 0.0000 0.0000
0.0000 7.9126 0.0000
0.0000 0.0000 7.9126
K Ba Ag
4 4 8
Direct
0.0000 0.0000 0.0000
0.0000 0.5000 0.5000
0.5000 0.0000 0.5000
0.5000 0.5000 0.0000
0.2500 0.2500 0.7500
0.2500 0.7500 0.2500
0.7500 0.2500 0.2500
0.7500 0.7500 0.7500
0.0000 0.0000 0.5000
0.0000 0.5000 0.0000
0.2500 0.2500 0.2500
0.2500 0.7500 0.7500
0.5000 0.0000 0.0000
0.5000 0.5000 0.5000
0.7500 0.2500 0.7500
0.7500 0.7500 0.2500
```

Diffraction record for KBaAg2Te4. The powder XRD pattern is computed, not measured: it uses a DFT-relaxed cell (GGA-PBE, Alexandria) and Cu Kα (weighted mean of Kα1 and Kα2).

The 12 most intense peaks (2θ = 15–90°), in order of rising 2θ:
2theta  I/Imax  index
22.2  9.6  1 0 3
26.6  31.8  1 0 5
29.0  11.3  0 0 8
31.2  100.0  1 1 4
38.3  14.5  1 0 9
39.4  41.7  2 0 0
40.4  25.3  1 1 8
48.1  12.2  2 1 5
49.6  9.7  2 0 8
56.1  9.4  2 1 9
56.9  13.8  2 2 0
66.3  21.7  3 1 4

Structural model:
```
KBaAg2Te4
1.0
4.5788 0.0000 0.0000
0.0000 4.5788 0.0000
0.0000 0.0000 24.6158
K Ba Ag Te
2 2 4 8
Direct
0.0000 0.0000 0.0000
0.5000 0.5000 0.5000
0.0000 0.0000 0.2383
0.5000 0.5000 0.7383
0.0000 0.5000 0.3693
0.0000 0.5000 0.8693
0.5000 0.0000 0.3693
0.5000 0.0000 0.8693
0.0000 0.0000 0.4384
0.0000 0.0000 0.7914
0.0000 0.5000 0.1231
0.0000 0.5000 0.6231
0.5000 0.0000 0.1231
0.5000 0.0000 0.6231
0.5000 0.5000 0.2914
0.5000 0.5000 0.9384
```

Diffraction record for BaLaAg2. The powder XRD pattern is computed, not measured: it uses a DFT-relaxed cell (GGA-PBE, Alexandria) and Cu Kα (weighted mean of Kα1 and Kα2).

The 12 most intense peaks (2θ = 15–90°), in order of rising 2θ:
2theta  I/Imax  index
31.7  46.9  0 1 2
31.9  100.0  1 1 0
33.8  4.2  0 0 3
45.4  9.9  0 2 0
45.6  5.3  0 0 4
45.9  9.5  2 0 0
56.5  17.5  1 2 2
56.7  11.1  1 1 4
56.9  17.2  2 1 2
66.5  6.1  2 2 0
75.2  8.0  1 3 0
76.1  7.8  3 1 0

Structural model:
```
BaLaAg2
1.0
3.9508 0.0000 0.0000
0.0000 3.9990 0.0000
0.0000 0.0000 7.9563
Ba La Ag
1 1 2
Direct
0.0000 0.0000 0.0000
0.0000 0.0000 0.5000
0.5000 0.5000 0.2948
0.5000 0.5000 0.7052
```